Structure and simulated powder XRD pattern of ICl8 (a cell relaxed with GGA-PBE; Cu Kα (λ = 1.5418 Å)).
Kinematic intensities with the Lorentz-polarization factor, no thermal factor.

Crystal structure
Unit cell a=6.2574 b=6.2574 c=11.6786 alpha=110.73 beta=110.73 gamma=71.08
Sites, in units of the cell vectors:
I (0.0000, 0.0000, 0.0000)
Cl (0.0644, 0.0644, 0.6922)
Cl (0.1485, 0.1485, 0.2977)
Cl (0.2392, 0.2392, 0.0003)
Cl (0.3717, 0.3717, 0.3084)
Cl (0.6283, 0.6283, 0.6916)
Cl (0.7608, 0.7608, 0.9997)
Cl (0.8515, 0.8515, 0.7023)
Cl (0.9356, 0.9356, 0.3078)

Most intense lines, 2θ = 10–80°, low angle first:
d 5.698, I 100; d 3.637, I 41; d 3.505, I 31; d 3.431, I 19; d 2.679, I 20; d 2.546, I 11; d 2.524, I 24; d 2.086, I 12; d 2.059, I 13; d 1.792, I 13

Structure and simulated powder XRD pattern of InICl (a cell relaxed with GGA-PBE; Cu Kα (λ = 1.5418 Å)).
Kinematic intensities with the Lorentz-polarization factor, no thermal factor.

Crystal structure
Unit cell a=6.2470 b=4.7320 c=8.2989 alpha=90.00 beta=101.29 gamma=90.00
Sites, in units of the cell vectors:
In (0.2204, 0.0000, 0.0909)
In (0.7796, 0.0000, 0.9091)
I (0.1883, 0.5000, 0.3017)
I (0.8117, 0.5000, 0.6983)
Cl (0.3679, 0.0000, 0.8044)
Cl (0.6321, 0.0000, 0.1956)

Most intense lines, 2θ = 10–80°, low angle first:
d 8.138, I 53; d 5.432, I 83; d 4.490, I 63; d 4.091, I 100; d 3.064, I 49; d 2.936, I 94; d 2.366, I 39; d 2.081, I 38; d 2.028, I 33; d 1.833, I 34